Structure and simulated PXRD pattern of AgPdAu2F8 (a crystal structure in Alexandria, relaxed with PBE; a wavelength of 1.5418 Å).
No peak broadening, texture or thermal motion is included.

Cell and atoms:
abc: 6.3017 6.3017 6.3017
angles: 115.08 115.08 98.76
Element x y z (fractional)
Ag: 0.0000 0.0000 0.0000
Pd: 0.7500 0.2500 0.5000
Au: 0.2500 0.7500 0.5000
Au: 0.5000 0.5000 0.0000
F: 0.0363 0.3452 0.3089
F: 0.0363 0.7274 0.6911
F: 0.0735 0.2771 0.7963
F: 0.2726 0.9637 0.3089
F: 0.4808 0.2771 0.2037
F: 0.6548 0.9637 0.6911
F: 0.7229 0.5192 0.7963
F: 0.7229 0.9265 0.2037

Main lines, in order of falling intensity (2θ from 5° to 70°):
2θ 28.7, I = 100; 2θ 26.4, I = 77; 2θ 48.0, I = 64; 2θ 52.1, I = 23; 2θ 37.6, I = 19; 2θ 62.5, I = 17; 2θ 31.5, I = 16; 2θ 54.2, I = 13; 2θ 44.1, I = 13; 2θ 61.3, I = 12